# 1
Cu2BiAs: theoretical X-ray powder pattern (CuKα), based on the GGA-PBE geometry in Alexandria.

Structure:
Cell lengths 6.1369, 6.1369, 6.1369 Å; angles 38.11, 38.11, 38.11 degrees
Fractional coordinates of all 4 atoms:
Cu1 0.0000 0.0000 0.0000
Cu2 0.2245 0.2245 0.2245
Bi1 0.7812 0.7812 0.7812
As1 0.6112 0.6112 0.6112

Top 10 peaks for 2θ = 10–90°, by intensity:
2θ = 37.0°, I 100; 2θ = 45.3°, I 75; 2θ = 26.2°, I 68; 2θ = 33.3°, I 56; 2θ = 27.8°, I 48; 2θ = 59.8°, I 24; 2θ = 56.2°, I 22; 2θ = 78.1°, I 22; 2θ = 45.5°, I 22; 2θ = 31.5°, I 18

---

# 2
Dy2ThOsC4: theoretical X-ray powder pattern (CuKα), based on the GGA-PBE geometry in Alexandria.

Structure:
Cell lengths 6.3038, 6.3038, 12.1373 Å; angles 90.00, 90.00, 147.58 degrees
Fractional coordinates of all 16 atoms:
Dy1 0.1298 0.8702 0.5402
Dy2 0.1298 0.8702 0.9598
Dy3 0.8702 0.1298 0.0402
Dy4 0.8702 0.1298 0.4598
Th1 0.4120 0.5880 0.7500
Th2 0.5880 0.4120 0.2500
Os1 0.3300 0.6700 0.2500
Os2 0.6700 0.3300 0.7500
C1 0.0803 0.9197 0.7500
C2 0.2318 0.7682 0.1305
C3 0.2318 0.7682 0.3695
C4 0.5000 0.5000 0.0000
C5 0.5000 0.5000 0.5000
C6 0.7682 0.2318 0.6305
C7 0.7682 0.2318 0.8695
C8 0.9197 0.0803 0.2500

Top 10 peaks for 2θ = 10–90°, by intensity:
2θ = 30.3°, I 100; 2θ = 29.5°, I 78; 2θ = 37.0°, I 54; 2θ = 34.6°, I 46; 2θ = 51.0°, I 42; 2θ = 30.4°, I 28; 2θ = 26.5°, I 21; 2θ = 60.9°, I 21; 2θ = 72.2°, I 20; 2θ = 48.0°, I 20

---

# 3
Tb2Hg7: theoretical X-ray powder pattern (CuKα), based on the GGA-PBE geometry in Alexandria.

Structure:
Cell lengths 5.1441, 5.1441, 9.4939 Å; angles 90.00, 90.00, 120.00 degrees
Fractional coordinates of all 9 atoms:
Tb1 0.3333 0.6667 0.2719
Tb2 0.6667 0.3333 0.7281
Hg1 0.0000 0.0000 0.1632
Hg2 0.0000 0.0000 0.5000
Hg3 0.0000 0.0000 0.8368
Hg4 0.3333 0.6667 0.6045
Hg5 0.3333 0.6667 0.9317
Hg6 0.6667 0.3333 0.0683
Hg7 0.6667 0.3333 0.3955

Top 10 peaks for 2θ = 10–90°, by intensity:
2θ = 34.9°, I 100; 2θ = 34.8°, I 99; 2θ = 62.5°, I 56; 2θ = 50.1°, I 36; 2θ = 62.3°, I 19; 2θ = 84.1°, I 17; 2θ = 83.9°, I 17; 2θ = 73.7°, I 12; 2θ = 73.4°, I 12; 2θ = 22.0°, I 1

---

Q: Which formula does entry 1 have?
A: Cu2BiAs